[1]
Ba2NdNbCu2O8: theoretical powder X-ray diffraction pattern (Cu Kα X-rays), based on a structure optimized by DFT (GGA-PBE).

Atomic structure:
```
Ba2NdNbCu2O8
1.0
4.0021 0.0000 0.0000
0.0000 4.0021 0.0000
0.0000 0.0000 12.1931
Ba Nd Nb Cu O
2 1 1 2 8
Direct
0.0000 0.0000 0.1959
0.0000 0.0000 0.8041
0.0000 0.0000 0.5000
0.5000 0.5000 0.0000
0.5000 0.5000 0.3609
0.5000 0.5000 0.6391
0.0000 0.5000 0.0000
0.0000 0.5000 0.3754
0.0000 0.5000 0.6246
0.5000 0.0000 0.0000
0.5000 0.0000 0.3754
0.5000 0.0000 0.6246
0.5000 0.5000 0.1639
0.5000 0.5000 0.8361
```

Principal peaks in the range 2θ from 15° to 90°, low angle first:
Position (°2θ)  I/Imax
31.4  100.0
31.6  53.1
37.1  13.4
38.8  12.8
45.3  34.3
55.7  11.7
56.2  38.1
65.5  11.9
66.0  10.3
74.9  8.1
75.1  9.0
83.2  7.6

[2]
LiPb3: theoretical powder X-ray diffraction pattern (Cu Kα X-rays), based on a structure optimized by DFT (GGA-PBE).

Atomic structure:
```
LiPb3
1.0
-2.4004 2.4004 4.9390
2.4004 -2.4004 4.9390
2.4004 2.4004 -4.9390
Li Pb
1 3
Direct
0.0000 0.0000 0.0000
0.2500 0.7500 0.5000
0.5000 0.5000 0.0000
0.7500 0.2500 0.5000
```

Principal peaks in the range 2θ from 15° to 90°, low angle first:
Position (°2θ)  I/Imax
18.0  10.2
20.6  30.1
32.0  100.0
33.0  9.6
36.4  17.9
37.5  33.1
53.2  24.6
54.0  11.8
62.7  15.2
64.2  28.4
66.9  12.6
87.4  13.1